Nd4MgRh: theoretical powder XRD pattern (Cu Kα (weighted mean of Kα1 and Kα2)), based on DFT lattice parameters and positions (GGA-PBE).

The 10 most intense peaks (2θ from 5° to 70°), sorted by position:
10.83 deg, rel. 23; 27.48 deg, rel. 41; 30.97 deg, rel. 53; 32.90 deg, rel. 100; 35.91 deg, rel. 33; 52.98 deg, rel. 13; 55.08 deg, rel. 51; 56.32 deg, rel. 15; 65.67 deg, rel. 12; 68.62 deg, rel. 13

a = 10.003 Å, b = 10.003 Å, c = 10.003 Å
α = 60.00°, β = 60.00°, γ = 60.00°
Fractional coordinates of all 24 atoms:
1 Nd 0.187 0.187 0.813
2 Nd 0.187 0.813 0.187
3 Nd 0.187 0.813 0.813
4 Nd 0.403 0.403 0.403
5 Nd 0.403 0.403 0.791
6 Nd 0.403 0.791 0.403
7 Nd 0.562 0.562 0.938
8 Nd 0.562 0.938 0.562
9 Nd 0.562 0.938 0.938
10 Nd 0.791 0.403 0.403
11 Nd 0.813 0.187 0.187
12 Nd 0.813 0.187 0.813
13 Nd 0.813 0.813 0.187
14 Nd 0.938 0.562 0.562
15 Nd 0.938 0.562 0.938
16 Nd 0.938 0.938 0.562
17 Mg 0.171 0.171 0.171
18 Mg 0.171 0.171 0.488
19 Mg 0.171 0.488 0.171
20 Mg 0.488 0.171 0.171
21 Rh 0.176 0.608 0.608
22 Rh 0.608 0.176 0.608
23 Rh 0.608 0.608 0.176
24 Rh 0.608 0.608 0.608

=====

NdMgSe3: theoretical powder XRD pattern (Cu Kα (weighted mean of Kα1 and Kα2)), based on DFT lattice parameters and positions (GGA-PBE).

The 10 most intense peaks (2θ from 5° to 70°), sorted by position:
14.19 deg, rel. 58; 20.30 deg, rel. 28; 24.89 deg, rel. 49; 25.82 deg, rel. 46; 27.05 deg, rel. 100; 29.13 deg, rel. 65; 31.70 deg, rel. 44; 42.69 deg, rel. 58; 43.01 deg, rel. 39; 43.50 deg, rel. 39

a = 7.367 Å, b = 7.367 Å, c = 6.852 Å
α = 103.72°, β = 103.72°, γ = 115.82°
Fractional coordinates of all 10 atoms:
1 Nd 0.196 0.196 0.315
2 Nd 0.804 0.804 0.685
3 Mg 0.332 0.668 0.000
4 Mg 0.668 0.332 0.000
5 Se 0.106 0.762 0.219
6 Se 0.238 0.894 0.781
7 Se 0.473 0.473 0.749
8 Se 0.527 0.527 0.251
9 Se 0.762 0.106 0.219
10 Se 0.894 0.238 0.781

=====

NdMgSe3: theoretical powder XRD pattern (Cu Kα (weighted mean of Kα1 and Kα2)), based on DFT lattice parameters and positions (GGA-PBE).

The 10 most intense peaks (2θ from 5° to 70°), sorted by position:
13.52 deg, rel. 22; 17.12 deg, rel. 20; 23.26 deg, rel. 24; 28.81 deg, rel. 100; 29.67 deg, rel. 19; 34.65 deg, rel. 21; 37.52 deg, rel. 61; 43.39 deg, rel. 16; 44.61 deg, rel. 39; 49.11 deg, rel. 17

a = 7.707 Å, b = 7.707 Å, c = 7.707 Å
α = 54.32°, β = 54.32°, γ = 54.32°
Fractional coordinates of all 10 atoms:
1 Nd 0.148 0.148 0.148
2 Nd 0.852 0.852 0.852
3 Mg 0.338 0.338 0.338
4 Mg 0.662 0.662 0.662
5 Se 0.077 0.462 0.709
6 Se 0.291 0.923 0.538
7 Se 0.462 0.709 0.077
8 Se 0.538 0.291 0.923
9 Se 0.709 0.077 0.462
10 Se 0.923 0.538 0.291

=====

Nd2MgSi2: theoretical powder XRD pattern (Cu Kα (weighted mean of Kα1 and Kα2)), based on DFT lattice parameters and positions (GGA-PBE).

The 10 most intense peaks (2θ from 5° to 70°), sorted by position:
20.42 deg, rel. 32; 24.06 deg, rel. 25; 26.95 deg, rel. 42; 31.76 deg, rel. 51; 34.05 deg, rel. 100; 38.48 deg, rel. 18; 41.53 deg, rel. 18; 50.89 deg, rel. 20; 55.39 deg, rel. 27; 67.71 deg, rel. 17

a = 7.398 Å, b = 7.398 Å, c = 4.348 Å
α = 90.00°, β = 90.00°, γ = 90.00°
Fractional coordinates of all 10 atoms:
1 Nd 0.181 0.319 0.000
2 Nd 0.319 0.819 0.000
3 Nd 0.681 0.181 0.000
4 Nd 0.819 0.681 0.000
5 Mg 0.000 0.000 0.500
6 Mg 0.500 0.500 0.500
7 Si 0.115 0.615 0.500
8 Si 0.385 0.115 0.500
9 Si 0.615 0.885 0.500
10 Si 0.885 0.385 0.500

=====

NdMgSi2: theoretical powder XRD pattern (Cu Kα (weighted mean of Kα1 and Kα2)), based on DFT lattice parameters and positions (GGA-PBE).

The 10 most intense peaks (2θ from 5° to 70°), sorted by position:
9.61 deg, rel. 25; 20.99 deg, rel. 25; 24.13 deg, rel. 22; 26.93 deg, rel. 40; 30.06 deg, rel. 26; 33.12 deg, rel. 100; 34.06 deg, rel. 16; 38.15 deg, rel. 35; 42.44 deg, rel. 42; 58.37 deg, rel. 20

a = 18.656 Å, b = 18.656 Å, c = 18.656 Å
α = 166.89°, β = 166.89°, γ = 18.59°
Fractional coordinates of all 16 atoms:
1 Nd 0.297 0.547 0.750
2 Nd 0.453 0.703 0.750
3 Nd 0.547 0.297 0.250
4 Nd 0.703 0.453 0.250
5 Mg 0.125 0.375 0.750
6 Mg 0.375 0.125 0.250
7 Mg 0.625 0.875 0.750
8 Mg 0.875 0.625 0.250
9 Si 0.014 0.764 0.250
10 Si 0.077 0.827 0.250
11 Si 0.173 0.923 0.250
12 Si 0.236 0.986 0.250
13 Si 0.764 0.014 0.750
14 Si 0.827 0.077 0.750
15 Si 0.923 0.173 0.750
16 Si 0.986 0.236 0.750